# 1
The following is a computed powder X-ray diffraction pattern of Ac8GaIr3Br4. It was derived from a cell relaxed with GGA-PBE, using Cu Kα (weighted mean of Kα1 and Kα2).
Neutral-atom scattering factors, no anomalous dispersion.

Structural model:
```
data_Ac8GaIr3Br4
_symmetry_space_group_name_H-M 'C 1 2/m 1'
_symmetry_Int_Tables_number 12
_symmetry_space_group_name_Hall '-C 2y'
_cell_length_a 15.422
_cell_length_b 8.905
_cell_length_c 9.655
_cell_angle_alpha 90.00
_cell_angle_beta 122.21
_cell_angle_gamma 90.00
loop_
_atom_site_label
_atom_site_type_symbol
_atom_site_fract_x
_atom_site_fract_y
_atom_site_fract_z
_atom_site_occupancy
Ac1 Ac 0.022 0.238 0.305 1
Ac2 Ac 0.233 0.000 0.698 1
Ac3 Ac 0.240 0.500 0.695 1
Ga1 Ga 0.000 0.500 0.500 1
Ir1 Ir 0.000 0.000 0.500 1
Ir2 Ir 0.250 0.250 0.500 1
Br1 Br 0.000 0.000 0.000 1
Br2 Br 0.000 0.500 0.000 1
Br3 Br 0.250 0.250 0.000 1
```

Largest 10 diffraction maxima, by angle, 2θ = 15–90°:
(hkl), 2θ (°), I/Imax
2 2 0, 24.20, 10.9
4 0 0, 27.33, 100.0
2 2 -3, 34.61, 20.6
2 2 2, 37.50, 28.3
0 4 0, 40.52, 39.8
4 0 -5, 47.11, 14.2
4 4 0, 49.57, 19.5
0 0 5, 56.37, 11.6
10 2 -2, 65.88, 16.3
6 2 3, 71.67, 14.3

# 2
The following is a computed powder X-ray diffraction pattern of SrPu2GeP4. It was derived from a cell relaxed with GGA-PBE, using Cu Kα (weighted mean of Kα1 and Kα2).
Neutral-atom scattering factors, no anomalous dispersion.

Structural model:
```
data_SrPu2GeP4
_symmetry_space_group_name_H-M 'C m c m'
_symmetry_Int_Tables_number 63
_symmetry_space_group_name_Hall '-C 2c 2'
_cell_length_a 4.066
_cell_length_b 13.758
_cell_length_c 13.474
_cell_angle_alpha 90.00
_cell_angle_beta 90.00
_cell_angle_gamma 90.00
loop_
_atom_site_label
_atom_site_type_symbol
_atom_site_fract_x
_atom_site_fract_y
_atom_site_fract_z
_atom_site_occupancy
Sr1 Sr 0.000 0.115 0.250 1
Pu1 Pu 0.000 0.370 0.055 1
Ge1 Ge 0.000 0.155 0.750 1
P1 P 0.000 0.000 0.000 1
P2 P 0.000 0.263 0.616 1
P3 P 0.000 0.441 0.250 1
```

Largest 10 diffraction maxima, by angle, 2θ = 15–90°:
(hkl), 2θ (°), I/Imax
1 1 0, 22.81, 26.9
0 2 3, 23.67, 87.5
0 4 0, 25.90, 56.3
1 1 2, 26.42, 86.5
1 3 1, 30.11, 31.0
1 1 3, 30.36, 31.7
1 3 2, 32.29, 100.0
0 2 5, 35.79, 42.1
1 1 5, 40.70, 37.3
2 0 0, 44.58, 67.4

# 3
The following is a computed powder X-ray diffraction pattern of PrYTm2Se6. It was derived from a cell relaxed with GGA-PBE, using Cu Kα (weighted mean of Kα1 and Kα2).
Neutral-atom scattering factors, no anomalous dispersion.

Structural model:
```
data_PrYTm2Se6
_symmetry_space_group_name_H-M 'R 3'
_symmetry_Int_Tables_number 146
_symmetry_space_group_name_Hall 'R 3'
_cell_length_a 7.2494
_cell_length_b 7.2494
_cell_length_c 19.3797
_cell_angle_alpha 90.00
_cell_angle_beta 90.00
_cell_angle_gamma 120.00
loop_
_atom_site_label
_atom_site_type_symbol
_atom_site_fract_x
_atom_site_fract_y
_atom_site_fract_z
_atom_site_occupancy
Pr1 Pr 0.0000 0.0000 0.0000 1
Y1 Y 0.0000 0.0000 0.4935 1
Tm1 Tm 0.0000 0.0000 0.2961 1
Tm2 Tm 0.0000 0.0000 0.7999 1
Se1 Se 0.0104 0.3128 0.8924 1
Se2 Se 0.0214 0.6380 0.0595 1
```

Largest 10 diffraction maxima, by angle, 2θ = 15–90°:
(hkl), 2θ (°), I/Imax
0 1 2, 16.83, 52.3
1 0 4, 23.19, 57.4
1 1 0, 24.56, 35.8
1 1 3, 28.23, 69.4
0 2 4, 34.03, 43.9
2 -1 6, 37.29, 100.0
3 -1 4, 42.42, 35.9
3 0 0, 43.23, 65.3
1 0 10, 49.21, 32.8
2 2 6, 58.39, 24.3

Copy entry 1 word for word.
The following is a computed powder X-ray diffraction pattern of Ac8GaIr3Br4. It was derived from a cell relaxed with GGA-PBE, using Cu Kα (weighted mean of Kα1 and Kα2).
Neutral-atom scattering factors, no anomalous dispersion.

Structural model:
```
data_Ac8GaIr3Br4
_symmetry_space_group_name_H-M 'C 1 2/m 1'
_symmetry_Int_Tables_number 12
_symmetry_space_group_name_Hall '-C 2y'
_cell_length_a 15.422
_cell_length_b 8.905
_cell_length_c 9.655
_cell_angle_alpha 90.00
_cell_angle_beta 122.21
_cell_angle_gamma 90.00
loop_
_atom_site_label
_atom_site_type_symbol
_atom_site_fract_x
_atom_site_fract_y
_atom_site_fract_z
_atom_site_occupancy
Ac1 Ac 0.022 0.238 0.305 1
Ac2 Ac 0.233 0.000 0.698 1
Ac3 Ac 0.240 0.500 0.695 1
Ga1 Ga 0.000 0.500 0.500 1
Ir1 Ir 0.000 0.000 0.500 1
Ir2 Ir 0.250 0.250 0.500 1
Br1 Br 0.000 0.000 0.000 1
Br2 Br 0.000 0.500 0.000 1
Br3 Br 0.250 0.250 0.000 1
```

Largest 10 diffraction maxima, by angle, 2θ = 15–90°:
(hkl), 2θ (°), I/Imax
2 2 0, 24.20, 10.9
4 0 0, 27.33, 100.0
2 2 -3, 34.61, 20.6
2 2 2, 37.50, 28.3
0 4 0, 40.52, 39.8
4 0 -5, 47.11, 14.2
4 4 0, 49.57, 19.5
0 0 5, 56.37, 11.6
10 2 -2, 65.88, 16.3
6 2 3, 71.67, 14.3

> What is the formula in the second record?

SrPu2GeP4